Diffraction record for Cs3Sm7Se12. The X-ray powder pattern is simulated, not measured: it uses a DFT-relaxed cell (PBE, Alexandria) and λ = 1.5418 Å (Cu Kα).
Neutral-atom scattering factors, no anomalous dispersion.

The 10 most intense peaks (10 to 90 degrees two-theta), by angle:
2theta  I_rel  hkl
18.90  21  0 2 4
24.04  19  0 2 6
27.37  20  0 1 8
29.42  100  1 3 1
29.98  21  1 3 2
30.66  21  0 1 9
41.95  42  1 4 7
42.27  39  2 0 0
44.01  15  1 4 8
44.86  13  1 2 11

Structure:
```
data_Cs3Sm7Se12
_chemical_formula_sum 'Cs6 Sm14 Se24'
_space_group_name_H-M_alt 'P m n 21'
_space_group_IT_number 31
_space_group_name_Hall 'P 2ac -2'
_cell_length_a 4.2762
_cell_length_b 13.1060
_cell_length_c 26.9189
_cell_angle_alpha 90.00
_cell_angle_beta 90.00
_cell_angle_gamma 90.00
loop_
_atom_site_label
_atom_site_type_symbol
_atom_site_fract_x
_atom_site_fract_y
_atom_site_fract_z
Cs1 Cs 0.0000 0.0321 0.0000
Cs2 Cs 0.0000 0.3001 0.3472
Cs3 Cs 0.0000 0.4619 0.7347
Sm1 Sm 0.0000 0.1578 0.6597
Sm2 Sm 0.0000 0.2565 0.8705
Sm3 Sm 0.0000 0.3401 0.0831
Sm4 Sm 0.0000 0.5311 0.4565
Sm5 Sm 0.0000 0.6723 0.0541
Sm6 Sm 0.0000 0.8318 0.6885
Sm7 Sm 0.0000 0.9642 0.2892
Se1 Se 0.0000 0.0031 0.1759
Se2 Se 0.0000 0.1796 0.5516
Se3 Se 0.0000 0.1842 0.7680
Se4 Se 0.0000 0.3183 0.1931
Se5 Se 0.0000 0.3192 0.9749
Se6 Se 0.0000 0.4964 0.5686
Se7 Se 0.0000 0.5899 0.3528
Se8 Se 0.0000 0.6209 0.9496
Se9 Se 0.0000 0.6958 0.1606
Se10 Se 0.0000 0.8063 0.5820
Se11 Se 0.0000 0.8841 0.7935
Se12 Se 0.0000 0.8924 0.3895
```

Diffraction record for Cs4Sm3SnSe8. The X-ray powder pattern is simulated, not measured: it uses a DFT-relaxed cell (PBE, Alexandria) and λ = 1.5418 Å (Cu Kα).
Neutral-atom scattering factors, no anomalous dispersion.

The 10 most intense peaks (10 to 90 degrees two-theta), by angle:
2theta  I_rel  hkl
10.56  10  0 0 3
21.21  10  0 0 6
24.69  11  2 0 2
27.62  100  0 2 4
37.28  33  2 0 8
41.54  36  2 2 0
43.26  14  0 0 12
50.62  18  4 0 4
61.50  12  2 2 12
67.49  16  2 4 4

Structure:
```
data_Cs4Sm3SnSe8
_chemical_formula_sum 'Cs12 Sm9 Sn3 Se24'
_space_group_name_H-M_alt 'R -3 m'
_space_group_IT_number 166
_space_group_name_Hall '-R 3 2"'
_cell_length_a 8.6948
_cell_length_b 8.6948
_cell_length_c 25.1300
_cell_angle_alpha 90.00
_cell_angle_beta 90.00
_cell_angle_gamma 120.00
loop_
_atom_site_label
_atom_site_type_symbol
_atom_site_fract_x
_atom_site_fract_y
_atom_site_fract_z
Cs1 Cs 0.0000 0.0000 0.0000
Cs2 Cs 0.0000 0.5000 0.0000
Sm1 Sm 0.0000 0.5000 0.5000
Sn1 Sn 0.0000 0.0000 0.5000
Se1 Se 0.0000 0.0000 0.2298
Se2 Se 0.0029 0.5015 0.2288
```

Diffraction record for CsSmTeSe. The X-ray powder pattern is simulated, not measured: it uses a DFT-relaxed cell (PBE, Alexandria) and λ = 1.5418 Å (Cu Kα).
Neutral-atom scattering factors, no anomalous dispersion.

The 10 most intense peaks (10 to 90 degrees two-theta), by angle:
2theta  I_rel  hkl
10.05  19  0 0 3
23.99  41  0 1 2
28.61  100  0 1 5
33.18  37  1 0 7
35.76  14  0 1 8
40.41  51  1 1 0
41.40  16  1 0 10
50.26  21  2 0 5
50.76  13  1 0 13
66.38  18  1 2 5

Structure:
```
data_CsSmTeSe
_chemical_formula_sum 'Cs3 Sm3 Te3 Se3'
_space_group_name_H-M_alt 'R 3 m'
_space_group_IT_number 160
_space_group_name_Hall 'R 3 -2"'
_cell_length_a 4.4638
_cell_length_b 4.4638
_cell_length_c 26.4144
_cell_angle_alpha 90.00
_cell_angle_beta 90.00
_cell_angle_gamma 120.00
loop_
_atom_site_label
_atom_site_type_symbol
_atom_site_fract_x
_atom_site_fract_y
_atom_site_fract_z
Cs1 Cs 0.0000 0.0000 0.0000
Sm1 Sm 0.0000 0.0000 0.8395
Te1 Te 0.0000 0.0000 0.4367
Se1 Se 0.0000 0.0000 0.2300
```

Diffraction record for Cs7SnSe6. The X-ray powder pattern is simulated, not measured: it uses a DFT-relaxed cell (PBE, Alexandria) and λ = 1.5418 Å (Cu Kα).
Neutral-atom scattering factors, no anomalous dispersion.

The 10 most intense peaks (10 to 90 degrees two-theta), by angle:
2theta  I_rel  hkl
14.49  27  1 1 2
21.79  100  0 2 4
24.16  51  2 2 2
24.80  71  1 4 1
29.25  47  2 3 3
31.00  32  2 1 5
31.11  27  2 4 2
36.21  25  2 2 6
38.03  30  1 6 3
56.81  37  4 2 8

Structure:
```
data_Cs7SnSe6
_chemical_formula_sum 'Cs28 Sn4 Se24'
_space_group_name_H-M_alt 'I b a m'
_space_group_IT_number 72
_space_group_name_Hall '-I 2 2c'
_cell_length_a 9.2430
_cell_length_b 15.9239
_cell_length_c 18.9918
_cell_angle_alpha 90.00
_cell_angle_beta 90.00
_cell_angle_gamma 90.00
loop_
_atom_site_label
_atom_site_type_symbol
_atom_site_fract_x
_atom_site_fract_y
_atom_site_fract_z
Cs1 Cs 0.0000 0.0000 0.2500
Cs2 Cs 0.1519 0.2887 0.1309
Cs3 Cs 0.2360 0.0406 0.0000
Sn1 Sn 0.0000 0.5000 0.2500
Se1 Se 0.0751 0.1695 0.5000
Se2 Se 0.1694 0.4046 0.3214
```

Diffraction record for Cs2SnSe3. The X-ray powder pattern is simulated, not measured: it uses a DFT-relaxed cell (PBE, Alexandria) and λ = 1.5418 Å (Cu Kα).
Neutral-atom scattering factors, no anomalous dispersion.

The 10 most intense peaks (10 to 90 degrees two-theta), by angle:
2theta  I_rel  hkl
11.22  19  0 2 0
23.13  100  2 0 0
24.82  18  0 4 2
24.93  16  2 0 -2
28.15  50  0 2 5
30.44  21  2 0 -4
35.71  19  2 4 -3
37.43  15  2 2 5
43.23  23  2 6 2
47.23  17  4 0 0

Structure:
```
data_Cs2SnSe3
_chemical_formula_sum 'Cs16 Sn8 Se24'
_space_group_name_H-M_alt 'C 1 2/c 1'
_space_group_IT_number 15
_space_group_name_Hall '-C 2yc'
_cell_length_a 7.7024
_cell_length_b 15.7687
_cell_length_c 17.3274
_cell_angle_alpha 90.00
_cell_angle_beta 92.37
_cell_angle_gamma 90.00
loop_
_atom_site_label
_atom_site_type_symbol
_atom_site_fract_x
_atom_site_fract_y
_atom_site_fract_z
Cs1 Cs 0.2205 0.1997 0.3504
Cs2 Cs 0.2459 0.1014 0.9312
Sn1 Sn 0.2305 0.4994 0.8375
Se1 Se 0.0000 0.0299 0.2500
Se2 Se 0.0000 0.4163 0.2500
Se3 Se 0.1881 0.3443 0.8619
Se4 Se 0.2350 0.0971 0.5490
```

Diffraction record for Cs2SnSe4. The X-ray powder pattern is simulated, not measured: it uses a DFT-relaxed cell (PBE, Alexandria) and λ = 1.5418 Å (Cu Kα).
Neutral-atom scattering factors, no anomalous dispersion.

The 10 most intense peaks (10 to 90 degrees two-theta), by angle:
2theta  I_rel  hkl
10.83  58  0 0 1
22.02  92  2 0 -1
24.86  85  0 1 1
31.36  100  0 1 2
32.08  31  2 1 0
32.74  31  3 0 -1
36.21  34  2 1 1
41.68  33  3 1 -2
45.53  30  0 2 0
45.71  34  3 1 1

Structure:
```
data_Cs2SnSe4
_chemical_formula_sum 'Cs2 Sn1 Se4'
_space_group_name_H-M_alt 'P 1 2/m 1'
_space_group_IT_number 10
_space_group_name_Hall '-P 2y'
_cell_length_a 8.2072
_cell_length_b 3.9843
_cell_length_c 8.5794
_cell_angle_alpha 90.00
_cell_angle_beta 107.74
_cell_angle_gamma 90.00
loop_
_atom_site_label
_atom_site_type_symbol
_atom_site_fract_x
_atom_site_fract_y
_atom_site_fract_z
Cs1 Cs 0.2030 0.0000 0.3252
Sn1 Sn 0.5000 0.5000 0.0000
Se1 Se 0.1099 0.5000 0.9355
Se2 Se 0.4049 0.0000 0.7667
```

Diffraction record for Cs2Sn2Se5. The X-ray powder pattern is simulated, not measured: it uses a DFT-relaxed cell (PBE, Alexandria) and λ = 1.5418 Å (Cu Kα).
Neutral-atom scattering factors, no anomalous dispersion.

The 10 most intense peaks (10 to 90 degrees two-theta), by angle:
2theta  I_rel  hkl
22.12  29  3 1 1
22.43  99  0 2 0
25.28  50  2 0 -2
26.79  42  4 2 0
27.50  35  5 1 1
27.93  25  7 1 -1
29.30  30  8 0 0
34.01  100  2 2 -2
40.52  28  9 1 1
45.67  29  3 1 3

Structure:
```
data_Cs2Sn2Se5
_chemical_formula_sum 'Cs8 Sn8 Se20'
_space_group_name_H-M_alt 'C 1 c 1'
_space_group_IT_number 9
_space_group_name_Hall 'C -2yc'
_cell_length_a 25.2468
_cell_length_b 7.9444
_cell_length_c 7.0479
_cell_angle_alpha 90.00
_cell_angle_beta 105.02
_cell_angle_gamma 90.00
loop_
_atom_site_label
_atom_site_type_symbol
_atom_site_fract_x
_atom_site_fract_y
_atom_site_fract_z
Cs1 Cs 0.0000 0.2402 0.0000
Cs2 Cs 0.2198 0.2551 0.2025
Sn1 Sn 0.1496 0.2483 0.6256
Sn2 Sn 0.3534 0.1471 0.7502
Se1 Se 0.1146 0.4934 0.8488
Se2 Se 0.1160 0.0036 0.8524
Se3 Se 0.2582 0.2982 0.7514
Se4 Se 0.3567 0.1599 0.3792
Se5 Se 0.4316 0.3092 0.9425
```

Diffraction record for Cs2ThSnSe5. The X-ray powder pattern is simulated, not measured: it uses a DFT-relaxed cell (PBE, Alexandria) and λ = 1.5418 Å (Cu Kα).
Neutral-atom scattering factors, no anomalous dispersion.

The 10 most intense peaks (10 to 90 degrees two-theta), by angle:
2theta  I_rel  hkl
14.07  35  0 2 2
19.05  21  0 2 3
23.85  23  1 3 0
25.44  45  0 6 1
27.11  100  1 1 3
31.40  23  1 5 2
35.25  19  0 8 2
35.78  20  1 1 5
41.49  27  2 0 0
42.87  28  1 7 4

Structure:
```
data_Cs2ThSnSe5
_chemical_formula_sum 'Cs8 Th4 Sn4 Se20'
_space_group_name_H-M_alt 'C m c 21'
_space_group_IT_number 36
_space_group_name_Hall 'C 2c -2'
_cell_length_a 4.3511
_cell_length_b 21.5633
_cell_length_c 15.5021
_cell_angle_alpha 90.00
_cell_angle_beta 90.00
_cell_angle_gamma 90.00
loop_
_atom_site_label
_atom_site_type_symbol
_atom_site_fract_x
_atom_site_fract_y
_atom_site_fract_z
Cs1 Cs 0.0000 0.1283 0.0000
Cs2 Cs 0.0000 0.1287 0.3496
Th1 Th 0.0000 0.2044 0.7012
Sn1 Sn 0.0000 0.4343 0.0873
Se1 Se 0.0000 0.0542 0.6907
Se2 Se 0.0000 0.3091 0.3200
Se3 Se 0.0000 0.3150 0.0632
Se4 Se 0.0000 0.3279 0.6749
Se5 Se 0.0000 0.4937 0.9527
```

Diffraction record for Cs2U3SnSe8. The X-ray powder pattern is simulated, not measured: it uses a DFT-relaxed cell (PBE, Alexandria) and λ = 1.5418 Å (Cu Kα).
Neutral-atom scattering factors, no anomalous dispersion.

The 10 most intense peaks (10 to 90 degrees two-theta), by angle:
2theta  I_rel  hkl
18.03  31  1 0 4
20.65  44  0 1 5
23.35  65  1 1 3
24.60  43  0 2 1
27.86  100  0 2 4
34.04  73  0 2 7
36.53  52  2 0 8
36.67  26  1 2 5
42.88  72  2 2 0
44.93  32  2 0 11

Structure:
```
data_Cs2U3SnSe8
_chemical_formula_sum 'Cs6 U9 Sn3 Se24'
_space_group_name_H-M_alt 'R 3 m'
_space_group_IT_number 160
_space_group_name_Hall 'R 3 -2"'
_cell_length_a 8.4354
_cell_length_b 8.4354
_cell_length_c 26.6138
_cell_angle_alpha 90.00
_cell_angle_beta 90.00
_cell_angle_gamma 120.00
loop_
_atom_site_label
_atom_site_type_symbol
_atom_site_fract_x
_atom_site_fract_y
_atom_site_fract_z
Cs1 Cs 0.0000 0.0000 0.0000
Cs2 Cs 0.0000 0.0000 0.3551
U1 U 0.1688 0.3376 0.8297
Sn1 Sn 0.0000 0.0000 0.5981
Se1 Se 0.0000 0.0000 0.2217
Se2 Se 0.0000 0.0000 0.7749
Se3 Se 0.0241 0.5120 0.7740
Se4 Se 0.1723 0.3446 0.5570
```

Diffraction record for Cs3Y3SnSe8. The X-ray powder pattern is simulated, not measured: it uses a DFT-relaxed cell (PBE, Alexandria) and λ = 1.5418 Å (Cu Kα).
Neutral-atom scattering factors, no anomalous dispersion.

The 10 most intense peaks (10 to 90 degrees two-theta), by angle:
2theta  I_rel  hkl
10.31  15  0 0 1
12.70  12  1 1 0
28.28  100  4 0 0
34.77  10  2 2 -3
37.39  30  2 2 2
43.28  36  0 4 0
52.51  17  4 4 0
56.11  9  4 0 -6
70.33  14  10 2 -2
81.57  10  0 4 6

Structure:
```
data_Cs3Y3SnSe8
_chemical_formula_sum 'Cs6 Y6 Sn2 Se16'
_space_group_name_H-M_alt 'C 1 2/m 1'
_space_group_IT_number 12
_space_group_name_Hall '-C 2y'
_cell_length_a 14.4859
_cell_length_b 8.3609
_cell_length_c 9.8480
_cell_angle_alpha 90.00
_cell_angle_beta 119.41
_cell_angle_gamma 90.00
loop_
_atom_site_label
_atom_site_type_symbol
_atom_site_fract_x
_atom_site_fract_y
_atom_site_fract_z
Cs1 Cs 0.0000 0.0000 0.0000
Cs2 Cs 0.2500 0.2500 0.0000
Y1 Y 0.0000 0.5000 0.5000
Y2 Y 0.2500 0.2500 0.5000
Sn1 Sn 0.0000 0.0000 0.5000
Se1 Se 0.0200 0.2410 0.3192
Se2 Se 0.2210 0.0000 0.6809
Se3 Se 0.2282 0.5000 0.6843
```

Diffraction record for CsZnSnSe3. The X-ray powder pattern is simulated, not measured: it uses a DFT-relaxed cell (PBE, Alexandria) and λ = 1.5418 Å (Cu Kα).
Neutral-atom scattering factors, no anomalous dispersion.

The 10 most intense peaks (10 to 90 degrees two-theta), by angle:
2theta  I_rel  hkl
10.61  73  1 0 -1
27.72  27  0 0 3
28.04  27  1 1 -2
28.30  100  2 1 -1
28.97  52  2 1 0
32.41  35  1 0 3
41.92  28  2 1 -4
44.32  30  0 2 0
45.46  30  3 1 2
51.29  30  3 1 -5

Structure:
```
data_CsZnSnSe3
_chemical_formula_sum 'Cs2 Zn2 Sn2 Se6'
_space_group_name_H-M_alt 'P 1 21/m 1'
_space_group_IT_number 11
_space_group_name_Hall '-P 2yb'
_cell_length_a 10.0142
_cell_length_b 4.0881
_cell_length_c 10.3003
_cell_angle_alpha 90.00
_cell_angle_beta 110.42
_cell_angle_gamma 90.00
loop_
_atom_site_label
_atom_site_type_symbol
_atom_site_fract_x
_atom_site_fract_y
_atom_site_fract_z
Cs1 Cs 0.2053 0.2500 0.2443
Zn1 Zn 0.0820 0.2500 0.6090
Sn1 Sn 0.3399 0.7500 0.8720
Se1 Se 0.1346 0.2500 0.8623
Se2 Se 0.1847 0.7500 0.5358
Se3 Se 0.4700 0.7500 0.1561
```

Please write out number 3 again, unchanged.
Diffraction record for CsSmTeSe. The X-ray powder pattern is simulated, not measured: it uses a DFT-relaxed cell (PBE, Alexandria) and λ = 1.5418 Å (Cu Kα).
Neutral-atom scattering factors, no anomalous dispersion.

The 10 most intense peaks (10 to 90 degrees two-theta), by angle:
2theta  I_rel  hkl
10.05  19  0 0 3
23.99  41  0 1 2
28.61  100  0 1 5
33.18  37  1 0 7
35.76  14  0 1 8
40.41  51  1 1 0
41.40  16  1 0 10
50.26  21  2 0 5
50.76  13  1 0 13
66.38  18  1 2 5

Structure:
```
data_CsSmTeSe
_chemical_formula_sum 'Cs3 Sm3 Te3 Se3'
_space_group_name_H-M_alt 'R 3 m'
_space_group_IT_number 160
_space_group_name_Hall 'R 3 -2"'
_cell_length_a 4.4638
_cell_length_b 4.4638
_cell_length_c 26.4144
_cell_angle_alpha 90.00
_cell_angle_beta 90.00
_cell_angle_gamma 120.00
loop_
_atom_site_label
_atom_site_type_symbol
_atom_site_fract_x
_atom_site_fract_y
_atom_site_fract_z
Cs1 Cs 0.0000 0.0000 0.0000
Sm1 Sm 0.0000 0.0000 0.8395
Te1 Te 0.0000 0.0000 0.4367
Se1 Se 0.0000 0.0000 0.2300
```